For Pm6C3Se2, a structure optimized by DFT (GGA-PBE) gives the calculated powder XRD pattern in this record (Cu Kα, 1.54184 Å).
Peak positions follow from Bragg's law for the DFT cell and can differ from measured ones.

Structural model:
Lattice parameters (Å, degrees): 6.627 11.490 7.237 90.00 107.99 90.00
Space group C2/m (No. 12)
Asymmetric unit:
Pm  0.232  0.169  0.203 x8
Pm  0.239  0.500  0.198 x4
C  0.000  0.000  0.000 x2
C  0.000  0.328  0.000 x4
Se  0.000  0.165  0.500 x4

The 8 most intense peaks (10° ≤ 2θ ≤ 80°), in order of rising 2θ:
- 25.9 deg, I 16
- 28.3 deg, I 62
- 32.1 deg, I 100
- 34.7 deg, I 17
- 39.3 deg, I 13
- 44.4 deg, I 17
- 47.5 deg, I 38
- 56.2 deg, I 15


For Pm8CSe6, a structure optimized by DFT (GGA-PBE) gives the calculated powder XRD pattern in this record (Cu Kα, 1.54184 Å).
Peak positions follow from Bragg's law for the DFT cell and can differ from measured ones.

Structural model:
Lattice parameters (Å, degrees): 8.6664 8.6664 5.9855 90.00 90.00 120.00
Space group P-31m (No. 162)
Asymmetric unit:
Pm  0.0000  0.2447  0.2446 x6
Pm  0.3333  0.6667  0.0000 x2
C  0.0000  0.0000  0.0000 x1
Se  0.0000  0.3903  0.7544 x6

The 8 most intense peaks (10° ≤ 2θ ≤ 80°), in order of rising 2θ:
- 25.4 deg, I 22
- 29.9 deg, I 21
- 31.5 deg, I 22
- 35.0 deg, I 100
- 35.9 deg, I 26
- 36.5 deg, I 42
- 55.5 deg, I 15
- 56.4 deg, I 25


For Pm4TeCSe2, a structure optimized by DFT (GGA-PBE) gives the calculated powder XRD pattern in this record (Cu Kα, 1.54184 Å).
Peak positions follow from Bragg's law for the DFT cell and can differ from measured ones.

Structural model:
Lattice parameters (Å, degrees): 5.922 5.922 11.989 90.00 90.00 90.00
Space group I-4m2 (No. 119)
Asymmetric unit:
Pm  0.000  0.000  0.208 x4
Pm  0.000  0.500  0.507 x4
Te  0.000  0.500  0.250 x2
C  0.000  0.000  0.000 x2
Se  0.000  0.000  0.500 x2
Se  0.000  0.500  0.750 x2

The 8 most intense peaks (10° ≤ 2θ ≤ 80°), in order of rising 2θ:
- 26.0 deg, I 23
- 26.9 deg, I 29
- 29.8 deg, I 35
- 30.2 deg, I 100
- 40.9 deg, I 19
- 42.9 deg, I 51
- 43.2 deg, I 37
- 53.4 deg, I 27


For Pm8Te4CSe3, a structure optimized by DFT (GGA-PBE) gives the calculated powder XRD pattern in this record (Cu Kα, 1.54184 Å).
Peak positions follow from Bragg's law for the DFT cell and can differ from measured ones.

Structural model:
Lattice parameters (Å, degrees): 8.4756 8.4756 21.5528 90.00 90.00 120.00
Space group R-3m (No. 166, hexagonal axes)
Asymmetric unit:
Pm  0.0000  0.0000  0.2405 x6
Pm  0.0333  0.5167  0.2349 x18
Te  0.0000  0.0000  0.0000 x3
Te  0.0000  0.5000  0.0000 x9
C  0.0000  0.0000  0.5000 x3
Se  0.0000  0.5000  0.5000 x9

The 8 most intense peaks (10° ≤ 2θ ≤ 80°), in order of rising 2θ:
- 29.4 deg, I 100
- 32.0 deg, I 13
- 41.6 deg, I 31
- 42.7 deg, I 36
- 52.7 deg, I 17
- 61.1 deg, I 9
- 68.5 deg, I 9
- 70.0 deg, I 13


For Pm6TeC2Se3, a structure optimized by DFT (GGA-PBE) gives the calculated powder XRD pattern in this record (Cu Kα, 1.54184 Å).
Peak positions follow from Bragg's law for the DFT cell and can differ from measured ones.

Structural model:
Lattice parameters (Å, degrees): 18.034 4.020 8.407 90.00 103.14 90.00
Space group C2/m (No. 12)
Asymmetric unit:
Pm  0.028  0.000  0.279 x4
Pm  0.178  0.500  0.133 x4
Pm  0.178  0.500  0.564 x4
Te  0.000  0.500  0.000 x2
C  0.172  0.000  0.339 x4
Se  0.000  0.500  0.500 x2
Se  0.159  0.000  0.835 x4

The 8 most intense peaks (10° ≤ 2θ ≤ 80°), in order of rising 2θ:
- 26.9 deg, I 19
- 30.5 deg, I 39
- 30.8 deg, I 100
- 43.0 deg, I 14
- 43.8 deg, I 22
- 44.0 deg, I 29
- 45.1 deg, I 19
- 55.5 deg, I 14


For Pm8SiC3, a structure optimized by DFT (GGA-PBE) gives the calculated powder XRD pattern in this record (Cu Kα, 1.54184 Å).
Peak positions follow from Bragg's law for the DFT cell and can differ from measured ones.

Structural model:
Lattice parameters (Å, degrees): 6.2481 6.2481 8.8611 90.00 90.00 120.00
Space group P-31m (No. 162)
Asymmetric unit:
Pm  0.0000  0.3277  0.3389 x6
Pm  0.3333  0.6667  0.0000 x2
Si  0.0000  0.0000  0.0000 x1
C  0.0000  0.0000  0.5000 x1
C  0.3333  0.6667  0.5000 x2

The 8 most intense peaks (10° ≤ 2θ ≤ 80°), in order of rising 2θ:
- 30.3 deg, I 100
- 35.1 deg, I 57
- 50.5 deg, I 20
- 50.6 deg, I 20
- 60.1 deg, I 33
- 60.2 deg, I 11
- 63.1 deg, I 10
- 74.3 deg, I 6


For Pm8Si2C, a structure optimized by DFT (GGA-PBE) gives the calculated powder XRD pattern in this record (Cu Kα, 1.54184 Å).
Peak positions follow from Bragg's law for the DFT cell and can differ from measured ones.

Structural model:
Lattice parameters (Å, degrees): 17.620 4.049 8.802 90.00 93.14 90.00
Space group C2/m (No. 12)
Asymmetric unit:
Pm  0.007  0.000  0.189 x4
Pm  0.096  0.500  0.561 x4
Pm  0.146  0.500  0.004 x4
Pm  0.216  0.000  0.348 x4
Si  0.174  0.000  0.764 x4
C  0.000  0.500  0.000 x2

The 8 most intense peaks (10° ≤ 2θ ≤ 80°), in order of rising 2θ:
- 29.5 deg, I 55
- 30.3 deg, I 100
- 31.6 deg, I 65
- 33.7 deg, I 58
- 44.8 deg, I 25
- 51.8 deg, I 27
- 55.9 deg, I 26
- 58.6 deg, I 24


For Pm4SnC2, a structure optimized by DFT (GGA-PBE) gives the calculated powder XRD pattern in this record (Cu Kα, 1.54184 Å).
Peak positions follow from Bragg's law for the DFT cell and can differ from measured ones.

Structural model:
Lattice parameters (Å, degrees): 3.892 12.926 13.303 90.00 90.00 90.00
Space group Cmcm (No. 63)
Asymmetric unit:
Pm  0.000  0.000  0.000 x4
Pm  0.000  0.264  0.102 x8
Pm  0.000  0.416  0.750 x4
Sn  0.000  0.105  0.750 x4
C  0.000  0.361  0.558 x8

The 8 most intense peaks (10° ≤ 2θ ≤ 80°), in order of rising 2θ:
- 30.2 deg, I 74
- 30.8 deg, I 44
- 31.4 deg, I 92
- 31.7 deg, I 100
- 33.8 deg, I 24
- 46.7 deg, I 24
- 56.6 deg, I 25
- 58.1 deg, I 27


For Pm4Sn3C, a structure optimized by DFT (GGA-PBE) gives the calculated powder XRD pattern in this record (Cu Kα, 1.54184 Å).
Peak positions follow from Bragg's law for the DFT cell and can differ from measured ones.

Structural model:
Lattice parameters (Å, degrees): 9.913 12.200 3.789 90.00 90.00 90.00
Space group Cmmm (No. 65)
Asymmetric unit:
Pm  0.000  0.224  0.000 x4
Pm  0.180  0.000  0.500 x4
Sn  0.000  0.500  0.000 x2
Sn  0.250  0.250  0.500 x4
C  0.000  0.000  0.000 x2

The 8 most intense peaks (10° ≤ 2θ ≤ 80°), in order of rising 2θ:
- 28.0 deg, I 19
- 29.3 deg, I 57
- 29.7 deg, I 100
- 33.6 deg, I 28
- 35.0 deg, I 25
- 42.2 deg, I 67
- 48.0 deg, I 17
- 57.2 deg, I 18


For Pm3Sn2C, a structure optimized by DFT (GGA-PBE) gives the calculated powder XRD pattern in this record (Cu Kα, 1.54184 Å).
Peak positions follow from Bragg's law for the DFT cell and can differ from measured ones.

Structural model:
Lattice parameters (Å, degrees): 14.546 6.409 7.102 90.00 101.32 90.00
Space group C2/c (No. 15)
Asymmetric unit:
Pm  0.000  0.064  0.250 x4
Pm  0.118  0.432  0.586 x8
Sn  0.187  0.085  0.061 x8
C  0.000  0.433  0.250 x4

The 8 most intense peaks (10° ≤ 2θ ≤ 80°), in order of rising 2θ:
- 27.8 deg, I 39
- 30.7 deg, I 100
- 31.9 deg, I 57
- 32.2 deg, I 50
- 34.2 deg, I 37
- 34.4 deg, I 74
- 41.9 deg, I 22
- 47.4 deg, I 21


For SrPm3C8, a structure optimized by DFT (GGA-PBE) gives the calculated powder XRD pattern in this record (Cu Kα, 1.54184 Å).
Peak positions follow from Bragg's law for the DFT cell and can differ from measured ones.

Structural model:
Lattice parameters (Å, degrees): 10.172 10.189 8.098 90.00 90.00 90.00
Space group Fmm2 (No. 42)
Asymmetric unit:
Sr  0.000  0.000  0.000 x4
Pm  0.000  0.000  0.500 x4
Pm  0.250  0.250  0.249 x8
C  0.000  0.174  0.748 x8
C  0.000  0.233  0.355 x8
C  0.174  0.000  0.253 x8
C  0.233  0.000  0.646 x8

The 8 most intense peaks (10° ≤ 2θ ≤ 80°), in order of rising 2θ:
- 24.7 deg, I 53
- 28.2 deg, I 100
- 35.3 deg, I 35
- 45.7 deg, I 59
- 51.8 deg, I 20
- 57.2 deg, I 13
- 70.7 deg, I 14
- 75.4 deg, I 14


For TbPmTeC, a structure optimized by DFT (GGA-PBE) gives the calculated powder XRD pattern in this record (Cu Kα, 1.54184 Å).
Peak positions follow from Bragg's law for the DFT cell and can differ from measured ones.

Structural model:
Lattice parameters (Å, degrees): 3.8814 3.8814 21.6808 90.00 90.00 120.00
Space group R3m (No. 160, hexagonal axes)
Asymmetric unit:
Tb  0.0000  0.0000  0.0000 x3
Pm  0.0000  0.0000  0.7921 x3
Te  0.0000  0.0000  0.5655 x3
C  0.0000  0.0000  0.3940 x3

The 8 most intense peaks (10° ≤ 2θ ≤ 80°), in order of rising 2θ:
- 26.8 deg, I 45
- 31.3 deg, I 81
- 33.7 deg, I 100
- 37.3 deg, I 25
- 46.8 deg, I 49
- 58.9 deg, I 20
- 61.3 deg, I 35
- 78.4 deg, I 17


For Pm3Tc2C3, a structure optimized by DFT (GGA-PBE) gives the calculated powder XRD pattern in this record (Cu Kα, 1.54184 Å).
Peak positions follow from Bragg's law for the DFT cell and can differ from measured ones.

Structural model:
Lattice parameters (Å, degrees): 3.470 11.495 13.020 90.00 90.00 90.00
Space group Cmcm (No. 63)
Asymmetric unit:
Pm  0.000  0.053  0.115 x8
Pm  0.000  0.329  0.250 x4
Tc  0.000  0.231  0.576 x8
C  0.000  0.338  0.750 x4
C  0.000  0.367  0.045 x8

The 8 most intense peaks (10° ≤ 2θ ≤ 80°), in order of rising 2θ:
- 25.7 deg, I 39
- 26.8 deg, I 40
- 31.9 deg, I 74
- 34.0 deg, I 50
- 35.6 deg, I 49
- 38.7 deg, I 87
- 40.8 deg, I 100
- 63.0 deg, I 39